[1]
Diffraction record for Cs2SbAuSe4. The powder diffractogram is theoretical, not measured: it uses a GGA-PBE-relaxed structure and a wavelength of 1.5418 Å.
Peak positions follow from Bragg's law for the DFT cell and can differ from measured ones.

Crystal structure
a = 14.739 Å, b = 13.278 Å, c = 7.961 Å
α = 83.90°, β = 63.61°, γ = 32.49°
Element x y z (fractional)
Cs: 0.055 0.055 0.695
Cs: 0.305 0.305 0.945
Cs: 0.695 0.695 0.055
Cs: 0.945 0.945 0.305
Sb: 0.375 0.375 0.375
Sb: 0.625 0.625 0.625
Au: 0.125 0.125 0.125
Au: 0.875 0.875 0.875
Se: 0.005 0.353 0.447
Se: 0.306 0.553 0.647
Se: 0.353 0.005 0.694
Se: 0.447 0.694 0.005
Se: 0.553 0.306 0.995
Se: 0.647 0.995 0.306
Se: 0.694 0.447 0.353
Se: 0.995 0.647 0.553

Top 10 peaks for 10 to 90 degrees two-theta, low angle first:
2theta  I_rel
13.8  80
14.1  68
23.0  41
24.2  100
25.0  65
28.7  86
29.4  58
34.0  87
44.4  37
46.4  45

***

[2]
Diffraction record for BeInP. The powder diffractogram is theoretical, not measured: it uses a GGA-PBE-relaxed structure and a wavelength of 1.5418 Å.
Peak positions follow from Bragg's law for the DFT cell and can differ from measured ones.

Crystal structure
a = 6.164 Å, b = 6.164 Å, c = 7.079 Å
α = 90.00°, β = 90.00°, γ = 70.61°
Element x y z (fractional)
Be: 0.130 0.870 0.872
Be: 0.370 0.630 0.372
Be: 0.630 0.370 0.628
Be: 0.870 0.130 0.128
In: 0.189 0.189 0.500
In: 0.311 0.311 0.000
In: 0.689 0.689 0.000
In: 0.811 0.811 0.500
P: 0.163 0.837 0.169
P: 0.337 0.663 0.669
P: 0.663 0.337 0.331
P: 0.837 0.163 0.831

Top 10 peaks for 10 to 90 degrees two-theta, low angle first:
2theta  I_rel
19.8  24
25.0  35
25.2  34
30.8  40
30.9  40
32.1  100
35.8  44
40.1  23
48.7  39
62.0  37